(1)
Starting from a cell relaxed with GGA-PBE, the powder XRD pattern of Ba2MgMnH6 was calculated for a wavelength of 1.5418 Å.

Peak list (9 most intense, 5° ≤ 2θ ≤ 70°, by angle)
index  2theta  I/Imax
1 1 1  19.14  2
2 0 0  22.14  32
2 2 0  31.51  100
3 1 1  37.13  1
2 2 2  38.85  11
4 0 0  45.17  19
4 2 0  50.85  14
4 2 2  56.11  38
4 4 0  65.79  12

Structural model:
a = 8.030 Å, b = 8.030 Å, c = 8.030 Å
α = 90.00°, β = 90.00°, γ = 90.00°
Space group Fm-3m (No. 225)
Symmetry-distinct sites (fractional):
Ba  0.250  0.250  0.250 (multiplicity 8)
Mg  0.000  0.000  0.000 (multiplicity 4)
Mn  0.000  0.000  0.500 (multiplicity 4)
H  0.000  0.000  0.280 (multiplicity 24)

---

(2)
Starting from a cell relaxed with GGA-PBE, the powder XRD pattern of Al2ZnSi was calculated for a wavelength of 1.5418 Å.

Peak list (12 most intense, 5° ≤ 2θ ≤ 70°, by angle)
index  2theta  I/Imax
0 0 3  8.71  79
0 0 6  17.47  20
0 0 9  26.33  12
0 0 12  35.36  48
1 0 1  38.50  10
0 1 2  38.85  9
1 0 4  40.23  100
0 1 5  41.24  10
0 1 8  45.42  69
1 0 13  55.43  5
1 0 16  62.87  25
1 1 0  69.40  19

Structural model:
a = 2.7084 Å, b = 2.7084 Å, c = 30.4614 Å
α = 90.00°, β = 90.00°, γ = 120.00°
Space group R3m (No. 160, hexagonal axes)
Symmetry-distinct sites (fractional):
Al  0.0000  0.0000  0.0000 (multiplicity 3)
Al  0.0000  0.0000  0.2539 (multiplicity 3)
Zn  0.0000  0.0000  0.5007 (multiplicity 3)
Si  0.0000  0.0000  0.7489 (multiplicity 3)

---

(3)
Starting from a cell relaxed with GGA-PBE, the powder XRD pattern of PmAl3Ni2 was calculated for a wavelength of 1.5418 Å.

Peak list (12 most intense, 5° ≤ 2θ ≤ 70°, by angle)
index  2theta  I/Imax
1 1 1  22.57  88
0 2 1  28.72  49
3 1 0  29.11  59
2 2 1  33.96  100
3 1 1  34.07  89
1 3 0  35.60  66
4 0 0  35.91  41
2 0 2  39.52  68
0 2 2  42.18  46
3 3 2  57.52  42
5 3 0  58.12  36
2 2 3  62.18  33

Structural model:
a = 10.004 Å, b = 7.819 Å, c = 5.123 Å
α = 90.00°, β = 90.00°, γ = 90.00°
Space group Cmcm (No. 63)
Symmetry-distinct sites (fractional):
Pm  0.000  0.157  0.250 (multiplicity 4)
Al  0.000  0.443  0.750 (multiplicity 4)
Al  0.194  0.221  0.750 (multiplicity 8)
Ni  0.203  0.500  0.000 (multiplicity 8)

---

(4)
Starting from a cell relaxed with GGA-PBE, the powder XRD pattern of Na4Bi2Pb was calculated for a wavelength of 1.5418 Å.

Peak list (12 most intense, 5° ≤ 2θ ≤ 70°, by angle)
index  2theta  I/Imax
1 1 -1  19.39  100
0 2 0  19.68  47
1 0 2  27.90  19
2 0 -2  33.72  55
1 3 -1  34.27  35
1 2 2  34.38  32
0 1 3  34.70  32
2 2 -2  39.37  17
1 0 -4  45.14  13
3 2 0  48.19  12
1 2 -4  49.68  11
3 3 -3  60.74  12

Structural model:
a = 6.300 Å, b = 9.020 Å, c = 8.174 Å
α = 90.00°, β = 98.02°, γ = 90.00°
Space group P2_1/c (No. 14)
Symmetry-distinct sites (fractional):
Na  0.065  0.189  0.017 (multiplicity 4)
Na  0.369  0.642  0.850 (multiplicity 4)
Bi  0.161  0.523  0.182 (multiplicity 4)
Pb  0.500  0.000  0.000 (multiplicity 2)

---

(5)
Starting from a cell relaxed with GGA-PBE, the powder XRD pattern of AcPr3DyY was calculated for a wavelength of 1.5418 Å.

Peak list (12 most intense, 5° ≤ 2θ ≤ 70°, by angle)
index  2theta  I/Imax
0 0 1  8.87  2
1 0 -1  11.93  2
1 1 2  29.46  100
0 2 0  34.05  34
3 0 0  34.36  17
1 2 -4  48.92  12
3 2 0  49.15  24
2 3 -2  58.09  7
1 3 2  58.14  15
0 1 6  58.21  7
4 1 2  58.55  14
2 2 4  61.14  13

Structural model:
a = 8.264 Å, b = 5.271 Å, c = 10.522 Å
α = 90.00°, β = 108.63°, γ = 90.00°
Space group P2_1/m (No. 11)
Symmetry-distinct sites (fractional):
Ac  0.172  0.250  0.293 (multiplicity 2)
Pr  0.172  0.750  0.040 (multiplicity 2)
Pr  0.173  0.250  0.793 (multiplicity 2)
Pr  0.173  0.750  0.546 (multiplicity 2)
Dy  0.498  0.250  0.628 (multiplicity 2)
Y  0.497  0.750  0.877 (multiplicity 2)

---

(6)
Starting from a cell relaxed with GGA-PBE, the powder XRD pattern of Tb3Nd3Ga4 was calculated for a wavelength of 1.5418 Å.

Peak list (12 most intense, 5° ≤ 2θ ≤ 70°, by angle)
index  2theta  I/Imax
1 0 2  25.78  23
1 2 2  30.61  100
1 1 3  32.65  76
1 3 1  32.87  89
0 2 4  36.47  34
0 4 2  36.76  33
2 0 0  40.67  37
2 0 4  52.97  17
1 0 6  53.92  14
2 2 4  55.76  20
2 4 2  55.97  20
1 6 4  64.89  19

Structural model:
a = 4.437 Å, b = 10.905 Å, c = 11.046 Å
α = 90.00°, β = 90.00°, γ = 90.00°
Space group Amm2 (No. 38)
Symmetry-distinct sites (fractional):
Tb  0.000  0.000  0.000 (multiplicity 2)
Tb  0.000  0.174  0.678 (multiplicity 4)
Nd  0.000  0.000  0.348 (multiplicity 2)
Nd  0.500  0.248  0.426 (multiplicity 4)
Ga  0.500  0.000  0.564 (multiplicity 2)
Ga  0.500  0.000  0.797 (multiplicity 2)
Ga  0.500  0.119  0.173 (multiplicity 4)

---

(7)
Starting from a cell relaxed with GGA-PBE, the powder XRD pattern of La2S2O was calculated for a wavelength of 1.5418 Å.

Peak list (12 most intense, 5° ≤ 2θ ≤ 70°, by angle)
index  2theta  I/Imax
0 2 1  16.68  37
0 0 2  24.40  70
1 1 1  25.61  76
0 4 1  26.01  100
1 3 0  27.80  91
1 3 1  30.43  76
1 1 2  33.41  37
1 3 2  37.32  88
0 2 3  38.81  40
2 0 0  44.27  45
1 7 1  48.32  32
2 4 1  52.06  31

Structural model:
a = 4.092 Å, b = 15.523 Å, c = 7.295 Å
α = 90.00°, β = 90.00°, γ = 90.00°
Space group Cmc2_1 (No. 36)
Symmetry-distinct sites (fractional):
La  0.000  0.055  0.000 (multiplicity 4)
La  0.000  0.337  0.097 (multiplicity 4)
S  0.000  0.299  0.484 (multiplicity 4)
S  0.000  0.460  0.803 (multiplicity 4)
O  0.000  0.095  0.665 (multiplicity 4)

---

(8)
Starting from a cell relaxed with GGA-PBE, the powder XRD pattern of LiNd2H6O6 was calculated for a wavelength of 1.5418 Å.

Peak list (12 most intense, 5° ≤ 2θ ≤ 70°, by angle)
index  2theta  I/Imax
0 1 -1  15.56  91
0 1 1  27.09  48
0 2 -1  27.19  24
1 0 1  28.17  100
1 2 0  39.48  46
1 -2 2  39.56  23
2 0 0  47.72  11
0 3 -3  47.99  18
-1 2 1  48.52  35
1 3 -2  48.65  31
2 -1 1  50.49  11
2 1 1  55.74  16

Structural model:
a = 3.812 Å, b = 6.560 Å, c = 6.576 Å
α = 119.79°, β = 90.00°, γ = 90.04°
Space group P-1 (No. 2)
Symmetry-distinct sites (fractional):
Li  0.000  0.000  0.000 (multiplicity 1)
Nd  0.239  0.667  0.333 (multiplicity 2)
H  0.345  0.726  0.829 (multiplicity 2)
H  0.346  0.105  0.275 (multiplicity 2)
H  0.348  0.170  0.899 (multiplicity 2)
O  0.243  0.318  0.921 (multiplicity 2)
O  0.244  0.081  0.399 (multiplicity 2)
O  0.245  0.601  0.681 (multiplicity 2)